[1]
Calculated PXRD pattern
Compound: TbDyGa4
Radiation: Cu Kα (weighted mean of Kα1 and Kα2)
Structure: DFT lattice parameters and positions (GGA-PBE)
Peak positions follow from Bragg's law for the DFT cell and can differ from measured ones.

Largest 8 diffraction maxima, by angle, 2θ = 10–90°:
23.4°, d 3.801, rel. 13
29.4°, d 3.034, rel. 57
35.2°, d 2.549, rel. 19
35.6°, d 2.519, rel. 72
40.1°, d 2.249, rel. 100
44.1°, d 2.054, rel. 27
61.1°, d 1.517, rel. 29
75.7°, d 1.256, rel. 13

Cell: 9.6151 9.6151 6.4732 Å, 90.00 90.00 155.33°
Sites, in units of the cell vectors:
Tb: 0.0890 0.9110 0.7500
Tb: 0.9110 0.0890 0.2500
Dy: 0.2347 0.7653 0.2500
Dy: 0.7653 0.2347 0.7500
Ga: 0.0702 0.9298 0.2500
Ga: 0.3550 0.6450 0.5435
Ga: 0.3550 0.6450 0.9565
Ga: 0.5000 0.5000 0.0000
Ga: 0.5000 0.5000 0.5000
Ga: 0.6450 0.3550 0.0435
Ga: 0.6450 0.3550 0.4565
Ga: 0.9298 0.0702 0.7500



[2]
Calculated PXRD pattern
Compound: SiHgMo
Radiation: Cu Kα (weighted mean of Kα1 and Kα2)
Structure: DFT lattice parameters and positions (GGA-PBE)
Peak positions follow from Bragg's law for the DFT cell and can differ from measured ones.

Largest 8 diffraction maxima, by angle, 2θ = 10–90°:
25.7°, d 3.472, rel. 26
29.7°, d 3.007, rel. 90
42.5°, d 2.126, rel. 100
50.3°, d 1.813, rel. 14
52.7°, d 1.736, rel. 24
61.7°, d 1.503, rel. 17
70.0°, d 1.345, rel. 32
77.8°, d 1.228, rel. 35

Cell: 4.2522 4.2522 4.2522 Å, 60.00 60.00 60.00°
Sites, in units of the cell vectors:
Si: 0.0000 0.0000 0.0000
Hg: 0.7500 0.7500 0.7500
Mo: 0.2500 0.2500 0.2500



[3]
Calculated PXRD pattern
Compound: Co3Sn2
Radiation: Cu Kα (weighted mean of Kα1 and Kα2)
Structure: DFT lattice parameters and positions (GGA-PBE)
Peak positions follow from Bragg's law for the DFT cell and can differ from measured ones.

Largest 8 diffraction maxima, by angle, 2θ = 10–90°:
30.6°, d 2.917, rel. 74
34.3°, d 2.612, rel. 15
43.1°, d 2.097, rel. 100
44.5°, d 2.035, rel. 29
44.7°, d 2.028, rel. 73
59.2°, d 1.560, rel. 13
63.8°, d 1.460, rel. 16
89.2°, d 1.098, rel. 18

Cell: 7.0166 5.2234 8.1410 Å, 90.00 90.00 90.00°
Sites, in units of the cell vectors:
Co: 0.0858 0.2500 0.1242
Co: 0.2331 0.5092 0.8779
Co: 0.2331 0.9908 0.8779
Co: 0.2669 0.0092 0.3779
Co: 0.2669 0.4908 0.3779
Co: 0.4142 0.7500 0.6242
Co: 0.5858 0.2500 0.3758
Co: 0.7331 0.5092 0.6221
Co: 0.7331 0.9908 0.6221
Co: 0.7669 0.0092 0.1221
Co: 0.7669 0.4908 0.1221
Co: 0.9142 0.7500 0.8758
Sn: 0.0605 0.7500 0.5938
Sn: 0.1008 0.7500 0.1487
Sn: 0.3992 0.2500 0.6487
Sn: 0.4395 0.2500 0.0938
Sn: 0.5605 0.7500 0.9062
Sn: 0.6008 0.7500 0.3513
Sn: 0.8992 0.2500 0.8513
Sn: 0.9395 0.2500 0.4062



[4]
Calculated PXRD pattern
Compound: ZnGaNi2
Radiation: Cu Kα (weighted mean of Kα1 and Kα2)
Structure: DFT lattice parameters and positions (GGA-PBE)
Peak positions follow from Bragg's law for the DFT cell and can differ from measured ones.

Largest 8 diffraction maxima, by angle, 2θ = 10–90°:
23.9°, d 3.723, rel. 6
35.2°, d 2.550, rel. 17
44.8°, d 2.022, rel. 100
51.5°, d 1.776, rel. 4
58.3°, d 1.584, rel. 4
65.2°, d 1.430, rel. 13
82.5°, d 1.170, rel. 7
82.7°, d 1.167, rel. 21

Cell: 4.0408 4.0408 7.4465 Å, 90.00 90.00 120.00°
Sites, in units of the cell vectors:
Zn: 0.3333 0.6667 0.2500
Zn: 0.6667 0.3333 0.7500
Ga: 0.0000 0.0000 0.0000
Ga: 0.0000 0.0000 0.5000
Ni: 0.3333 0.6667 0.5830
Ni: 0.3333 0.6667 0.9170
Ni: 0.6667 0.3333 0.0830
Ni: 0.6667 0.3333 0.4170



[5]
Calculated PXRD pattern
Compound: RbAg2AsS3
Radiation: Cu Kα (weighted mean of Kα1 and Kα2)
Structure: DFT lattice parameters and positions (GGA-PBE)
Peak positions follow from Bragg's law for the DFT cell and can differ from measured ones.

Largest 8 diffraction maxima, by angle, 2θ = 10–90°:
27.9°, d 3.197, rel. 54
28.1°, d 3.181, rel. 70
28.1°, d 3.172, rel. 47
28.7°, d 3.109, rel. 100
28.9°, d 3.092, rel. 73
29.1°, d 3.069, rel. 48
29.9°, d 2.985, rel. 70
32.2°, d 2.780, rel. 54

Cell: 6.7555 9.6308 10.9890 Å, 90.75 92.58 90.68°
Sites, in units of the cell vectors:
Rb: 0.2058 0.4291 0.1221
Rb: 0.2935 0.5677 0.6343
Rb: 0.7065 0.4323 0.3657
Rb: 0.7942 0.5709 0.8779
Ag: 0.0101 0.0917 0.3439
Ag: 0.0849 0.8539 0.0481
Ag: 0.4251 0.1440 0.5507
Ag: 0.4896 0.2460 0.8514
Ag: 0.5104 0.7540 0.1486
Ag: 0.5749 0.8560 0.4493
Ag: 0.9151 0.1461 0.9519
Ag: 0.9899 0.9083 0.6561
As: 0.0390 0.7977 0.3398
As: 0.4774 0.9400 0.8530
As: 0.5226 0.0600 0.1470
As: 0.9610 0.2023 0.6602
S: 0.1142 0.2848 0.4942
S: 0.1240 0.3125 0.8242
S: 0.1843 0.0905 0.1450
S: 0.3322 0.6787 0.3395
S: 0.3593 0.7318 0.9291
S: 0.3725 0.9094 0.6534
S: 0.6275 0.0906 0.3466
S: 0.6407 0.2682 0.0709
S: 0.6678 0.3213 0.6605
S: 0.8157 0.9095 0.8550
S: 0.8760 0.6875 0.1758
S: 0.8858 0.7152 0.5058



[6]
Calculated PXRD pattern
Compound: Pr3Pd2
Radiation: Cu Kα (weighted mean of Kα1 and Kα2)
Structure: DFT lattice parameters and positions (GGA-PBE)
Peak positions follow from Bragg's law for the DFT cell and can differ from measured ones.

Largest 8 diffraction maxima, by angle, 2θ = 10–90°:
31.2°, d 2.869, rel. 35
33.1°, d 2.703, rel. 100
35.1°, d 2.556, rel. 49
44.5°, d 2.036, rel. 17
46.3°, d 1.962, rel. 13
57.9°, d 1.593, rel. 23
62.9°, d 1.477, rel. 12
66.4°, d 1.408, rel. 13

Cell: 8.0820 8.0820 4.0729 Å, 90.00 90.00 90.00°
Sites, in units of the cell vectors:
Pr: 0.0000 0.0000 0.0000
Pr: 0.1677 0.3323 0.5000
Pr: 0.3323 0.8323 0.5000
Pr: 0.5000 0.5000 0.0000
Pr: 0.6677 0.1677 0.5000
Pr: 0.8323 0.6677 0.5000
Pd: 0.1260 0.6260 0.0000
Pd: 0.3740 0.1260 0.0000
Pd: 0.6260 0.8740 0.0000
Pd: 0.8740 0.3740 0.0000



[7]
Calculated PXRD pattern
Compound: FeReTc2
Radiation: Cu Kα (weighted mean of Kα1 and Kα2)
Structure: DFT lattice parameters and positions (GGA-PBE)
Peak positions follow from Bragg's law for the DFT cell and can differ from measured ones.

Largest 8 diffraction maxima, by angle, 2θ = 10–90°:
25.4°, d 3.509, rel. 11
29.4°, d 3.039, rel. 10
42.1°, d 2.149, rel. 100
49.8°, d 1.832, rel. 6
52.1°, d 1.754, rel. 3
61.0°, d 1.519, rel. 16
69.1°, d 1.359, rel. 4
76.8°, d 1.241, rel. 33

Cell: 4.2974 4.2974 4.2974 Å, 60.00 60.00 60.00°
Sites, in units of the cell vectors:
Fe: 0.0000 0.0000 0.0000
Re: 0.7500 0.7500 0.7500
Tc: 0.2500 0.2500 0.2500
Tc: 0.5000 0.5000 0.5000



[8]
Calculated PXRD pattern
Compound: Nd2CuSnSb4
Radiation: Cu Kα (weighted mean of Kα1 and Kα2)
Structure: DFT lattice parameters and positions (GGA-PBE)
Peak positions follow from Bragg's law for the DFT cell and can differ from measured ones.

Largest 8 diffraction maxima, by angle, 2θ = 10–90°:
25.9°, d 3.445, rel. 13
32.3°, d 2.770, rel. 18
33.0°, d 2.712, rel. 100
38.4°, d 2.344, rel. 13
41.0°, d 2.199, rel. 31
53.2°, d 1.722, rel. 17
59.4°, d 1.555, rel. 10
69.7°, d 1.349, rel. 23

Cell: 4.3979 4.3979 11.0805 Å, 90.00 90.00 90.00°
Sites, in units of the cell vectors:
Nd: 0.0000 0.5000 0.2251
Nd: 0.5000 0.0000 0.7749
Cu: 0.0000 0.0000 0.5000
Sn: 0.5000 0.5000 0.5000
Sb: 0.0000 0.0000 0.0000
Sb: 0.0000 0.5000 0.6984
Sb: 0.5000 0.0000 0.3016
Sb: 0.5000 0.5000 0.0000



[9]
Calculated PXRD pattern
Compound: TbZr6Sn4
Radiation: Cu Kα (weighted mean of Kα1 and Kα2)
Structure: DFT lattice parameters and positions (GGA-PBE)
Peak positions follow from Bragg's law for the DFT cell and can differ from measured ones.

Largest 8 diffraction maxima, by angle, 2θ = 10–90°:
29.3°, d 3.050, rel. 72
33.5°, d 2.676, rel. 100
34.1°, d 2.626, rel. 98
37.0°, d 2.428, rel. 100
37.2°, d 2.419, rel. 88
38.9°, d 2.316, rel. 79
60.7°, d 1.525, rel. 63
71.2°, d 1.325, rel. 69

Cell: 8.7656 8.7656 8.7656 Å, 40.73 40.73 40.73°
Sites, in units of the cell vectors:
Tb: 0.0000 0.0000 0.0000
Zr: 0.1072 0.6038 0.6038
Zr: 0.3962 0.3962 0.8928
Zr: 0.3962 0.8928 0.3962
Zr: 0.6038 0.1072 0.6038
Zr: 0.6038 0.6038 0.1072
Zr: 0.8928 0.3962 0.3962
Sn: 0.1238 0.1238 0.1238
Sn: 0.3327 0.3327 0.3327
Sn: 0.6673 0.6673 0.6673
Sn: 0.8762 0.8762 0.8762



[10]
Calculated PXRD pattern
Compound: Fe2SnCl6
Radiation: Cu Kα (weighted mean of Kα1 and Kα2)
Structure: DFT lattice parameters and positions (GGA-PBE)
Peak positions follow from Bragg's law for the DFT cell and can differ from measured ones.

Largest 8 diffraction maxima, by angle, 2θ = 10–90°:
14.6°, d 6.081, rel. 100
15.8°, d 5.596, rel. 35
26.7°, d 3.334, rel. 23
27.6°, d 3.228, rel. 21
30.9°, d 2.898, rel. 21
31.2°, d 2.869, rel. 54
34.8°, d 2.577, rel. 22
39.4°, d 2.290, rel. 44

Cell: 6.3897 6.7001 6.9050 Å, 118.64 90.24 105.51°
Sites, in units of the cell vectors:
Fe: 0.0000 0.0000 0.0000
Fe: 0.0093 0.4651 0.0097
Sn: 0.7905 0.2283 0.4233
Cl: 0.1633 0.3836 0.6586
Cl: 0.2238 0.8841 0.1718
Cl: 0.2856 0.3450 0.1110
Cl: 0.7402 0.0719 0.8326
Cl: 0.7450 0.5942 0.8568
Cl: 0.8614 0.5851 0.3574



[11]
Calculated PXRD pattern
Compound: NaTlPtPb
Radiation: Cu Kα (weighted mean of Kα1 and Kα2)
Structure: DFT lattice parameters and positions (GGA-PBE)
Peak positions follow from Bragg's law for the DFT cell and can differ from measured ones.

Largest 8 diffraction maxima, by angle, 2θ = 10–90°:
15.9°, d 5.572, rel. 75
19.2°, d 4.615, rel. 52
31.0°, d 2.888, rel. 85
33.5°, d 2.672, rel. 48
38.7°, d 2.329, rel. 100
39.0°, d 2.307, rel. 56
39.7°, d 2.272, rel. 99
41.5°, d 2.175, rel. 48

Cell: 4.3498 8.2325 5.9773 Å, 90.00 111.22 90.00°
Sites, in units of the cell vectors:
Na: 0.0678 0.0000 0.1340
Na: 0.9322 0.5000 0.8660
Tl: 0.3625 0.2073 0.7277
Tl: 0.6375 0.7073 0.2723
Pt: 0.2172 0.5016 0.4323
Pt: 0.7828 0.0016 0.5677
Pb: 0.3541 0.7996 0.7101
Pb: 0.6459 0.2996 0.2899